[1]
Diffraction record for LaTmTc2O8. The powder diffractogram is calculated, not measured: it uses a structure optimized by DFT (PBE) and Cu Kα.
Intensities are scaled so that the largest is 100.

Structure:
```
data_LaTmTc2O8
_space_group_name_H-M_alt 'P -3 1 m'
_space_group_IT_number 162
_space_group_name_Hall '-P 3 2'
_cell_length_a 5.0257
_cell_length_b 5.0257
_cell_length_c 7.1272
_cell_angle_alpha 90.00
_cell_angle_beta 90.00
_cell_angle_gamma 120.00
loop_
_atom_site_label
_atom_site_fract_x
_atom_site_fract_y
_atom_site_fract_z
_atom_site_occupancy
La1 0.0000 0.0000 0.0000 1
Tm1 0.0000 0.0000 0.5000 1
Tc1 0.3333 0.6667 0.5000 1
O1 0.0000 0.3448 0.6761 1
O2 0.3333 0.6667 0.0000 1
```

Largest 10 diffraction maxima, most intense first, 2θ = 5–70°:
2.054 Å, intensity 100, hkl 2 -1 2
7.127 Å, intensity 73, hkl 0 0 1
2.513 Å, intensity 67, hkl 1 1 0
3.564 Å, intensity 54, hkl 0 0 2
4.352 Å, intensity 37, hkl 1 0 0
1.453 Å, intensity 30, hkl 1 1 4
2.757 Å, intensity 26, hkl 1 0 2
2.370 Å, intensity 19, hkl 2 -1 1
1.451 Å, intensity 18, hkl 3 0 0
1.726 Å, intensity 11, hkl 1 1 3



[2]
Diffraction record for Cd5Sn3. The powder diffractogram is calculated, not measured: it uses a structure optimized by DFT (PBE) and Cu Kα.
Intensities are scaled so that the largest is 100.

Structure:
```
data_Cd5Sn3
_space_group_name_H-M_alt 'P m m 2'
_space_group_IT_number 25
_cell_length_a 4.4944
_cell_length_b 6.7321
_cell_length_c 6.5959
_cell_angle_alpha 90.00
_cell_angle_beta 90.00
_cell_angle_gamma 90.00
loop_
_space_group_symop_operation_xyz
'x,y,z'
'-x,-y,z'
'-x,y,z'
'x,-y,z'
loop_
_atom_site_label
_atom_site_fract_x
_atom_site_fract_y
_atom_site_fract_z
_atom_site_occupancy
Cd1 0.0000 0.0000 0.0000 1
Cd2 0.0000 0.0000 0.4765 1
Cd3 0.0000 0.5000 0.9960 1
Cd4 0.5000 0.2437 0.2321 1
Sn1 0.0000 0.5000 0.4803 1
Sn2 0.5000 0.2463 0.7385 1
```

Largest 10 diffraction maxima, most intense first, 2θ = 5–70°:
2.694 Å, intensity 100, hkl 1 2 0
2.659 Å, intensity 96, hkl 1 0 2
2.356 Å, intensity 68, hkl 0 2 2
1.626 Å, intensity 42, hkl 2 2 2
2.247 Å, intensity 30, hkl 2 0 0
1.422 Å, intensity 27, hkl 1 4 2
1.406 Å, intensity 25, hkl 1 2 4
1.369 Å, intensity 12, hkl 3 2 0
1.683 Å, intensity 12, hkl 0 4 0
1.364 Å, intensity 12, hkl 3 0 2



[3]
Diffraction record for K3AsPd. The powder diffractogram is calculated, not measured: it uses a structure optimized by DFT (PBE) and Cu Kα.
Intensities are scaled so that the largest is 100.

Structure:
```
data_K3AsPd
_space_group_name_H-M_alt 'C m c m'
_space_group_IT_number 63
_space_group_name_Hall '-C 2c 2'
_cell_length_a 5.7382
_cell_length_b 9.9541
_cell_length_c 10.2753
_cell_angle_alpha 90.00
_cell_angle_beta 90.00
_cell_angle_gamma 90.00
loop_
_atom_site_label
_atom_site_fract_x
_atom_site_fract_y
_atom_site_fract_z
_atom_site_occupancy
K1 0.0000 0.1663 0.2500 1
K2 0.0000 0.1666 0.5851 1
As1 0.0000 0.5000 0.0000 1
Pd1 0.0000 0.4996 0.2500 1
```

Largest 10 diffraction maxima, most intense first, 2θ = 5–70°:
2.871 Å, intensity 100, hkl 2 0 0
4.973 Å, intensity 62, hkl 0 2 0
2.282 Å, intensity 38, hkl 0 2 4
2.821 Å, intensity 23, hkl 1 1 3
1.914 Å, intensity 21, hkl 2 0 4
1.517 Å, intensity 21, hkl 1 5 4
1.787 Å, intensity 18, hkl 2 2 4
1.658 Å, intensity 18, hkl 3 3 0
2.487 Å, intensity 11, hkl 2 2 0
1.436 Å, intensity 11, hkl 4 0 0



[4]
Diffraction record for MnZnFe4. The powder diffractogram is calculated, not measured: it uses a structure optimized by DFT (PBE) and Cu Kα.
Intensities are scaled so that the largest is 100.

Structure:
```
data_MnZnFe4
_space_group_name_H-M_alt 'P -3 m 1'
_space_group_IT_number 164
_space_group_name_Hall '-P 3 2"'
_cell_length_a 4.0657
_cell_length_b 4.0657
_cell_length_c 5.0036
_cell_angle_alpha 90.00
_cell_angle_beta 90.00
_cell_angle_gamma 120.00
loop_
_atom_site_label
_atom_site_fract_x
_atom_site_fract_y
_atom_site_fract_z
_atom_site_occupancy
Mn1 0.0000 0.0000 0.0000 1
Zn1 0.0000 0.0000 0.5000 1
Fe1 0.3333 0.6667 0.1762 1
Fe2 0.3333 0.6667 0.6854 1
```

Largest 4 diffraction maxima, most intense first, 2θ = 5–70°:
2.039 Å, intensity 100, hkl 0 1 2
2.033 Å, intensity 99, hkl 1 1 0
1.440 Å, intensity 29, hkl 2 0 2
2.880 Å, intensity 1, hkl 0 1 1



[5]
Diffraction record for TbPm3Ir. The powder diffractogram is calculated, not measured: it uses a structure optimized by DFT (PBE) and Cu Kα.
Intensities are scaled so that the largest is 100.

Structure:
```
data_TbPm3Ir
_space_group_name_H-M_alt 'I m a 2'
_space_group_IT_number 46
_cell_length_a 8.8159
_cell_length_b 8.2870
_cell_length_c 8.6832
_cell_angle_alpha 90.00
_cell_angle_beta 90.00
_cell_angle_gamma 90.00
loop_
_space_group_symop_operation_xyz
'x,y,z'
'-x,-y,z'
'-x+1/2,y,z'
'x+1/2,-y,z'
'x+1/2,y+1/2,z+1/2'
'-x+1/2,-y+1/2,z+1/2'
'-x,y+1/2,z+1/2'
'x,-y+1/2,z+1/2'
loop_
_atom_site_label
_atom_site_fract_x
_atom_site_fract_y
_atom_site_fract_z
_atom_site_occupancy
Tb1 0.2500 0.0460 0.0000 1
Pm1 0.0536 0.7083 0.1997 1
Pm2 0.2500 0.0424 0.3960 1
Ir1 0.2500 0.1340 0.7000 1
```

Largest 10 diffraction maxima, most intense first, 2θ = 5–70°:
2.634 Å, intensity 100, hkl 0 3 1
2.997 Å, intensity 95, hkl 0 2 2
3.019 Å, intensity 80, hkl 2 2 0
2.770 Å, intensity 72, hkl 3 1 0
2.733 Å, intensity 63, hkl 0 1 3
2.335 Å, intensity 41, hkl 3 1 2
1.846 Å, intensity 41, hkl 3 2 3
2.322 Å, intensity 39, hkl 2 1 3
4.408 Å, intensity 37, hkl 2 0 0
6.038 Å, intensity 37, hkl 1 1 0



[6]
Diffraction record for CaSc3Ni8. The powder diffractogram is calculated, not measured: it uses a structure optimized by DFT (PBE) and Cu Kα.
Intensities are scaled so that the largest is 100.

Structure:
```
data_CaSc3Ni8
_space_group_name_H-M_alt 'R 3 m'
_space_group_IT_number 160
_space_group_name_Hall 'R 3 -2"'
_cell_length_a 4.9326
_cell_length_b 4.9326
_cell_length_c 24.1893
_cell_angle_alpha 90.00
_cell_angle_beta 90.00
_cell_angle_gamma 120.00
loop_
_atom_site_label
_atom_site_fract_x
_atom_site_fract_y
_atom_site_fract_z
_atom_site_occupancy
Ca1 0.0000 0.0000 0.0000 1
Sc1 0.0000 0.0000 0.1256 1
Sc2 0.0000 0.0000 0.5000 1
Sc3 0.0000 0.0000 0.6241 1
Ni1 0.0000 0.0000 0.3124 1
Ni2 0.0000 0.0000 0.8127 1
Ni3 0.0027 0.5013 0.0650 1
Ni4 0.1684 0.3368 0.8939 1
```

Largest 8 diffraction maxima, most intense first, 2θ = 5–70°:
2.104 Å, intensity 100, hkl 2 0 2
2.014 Å, intensity 53, hkl 0 2 4
4.029 Å, intensity 24, hkl 0 1 2
2.467 Å, intensity 17, hkl 1 1 0
1.745 Å, intensity 11, hkl 2 0 8
1.424 Å, intensity 5, hkl 1 0 16
1.601 Å, intensity 5, hkl 1 2 2
8.063 Å, intensity 1, hkl 0 0 3



[7]
Diffraction record for MgCrP2N6. The powder diffractogram is calculated, not measured: it uses a structure optimized by DFT (PBE) and Cu Kα.
Intensities are scaled so that the largest is 100.

Structure:
```
data_MgCrP2N6
_space_group_name_H-M_alt 'C 1 2/c 1'
_space_group_IT_number 15
_cell_length_a 9.9330
_cell_length_b 9.7206
_cell_length_c 5.2357
_cell_angle_alpha 90.00
_cell_angle_beta 113.18
_cell_angle_gamma 90.00
loop_
_space_group_symop_operation_xyz
'x,y,z'
'-x,-y,-z'
'-x,y,-z+1/2'
'x,-y,z+1/2'
'x+1/2,y+1/2,z'
'-x+1/2,-y+1/2,-z'
'-x+1/2,y+1/2,-z+1/2'
'x+1/2,-y+1/2,z+1/2'
loop_
_atom_site_label
_atom_site_fract_x
_atom_site_fract_y
_atom_site_fract_z
_atom_site_occupancy
Mg1 0.0000 0.1165 0.2500 1
Cr1 0.0000 0.2054 0.7500 1
P1 0.1961 0.4274 0.1968 1
N1 0.1051 0.2826 0.0589 1
N2 0.1225 0.0957 0.6716 1
N3 0.1567 0.4580 0.4595 1
```

Largest 10 diffraction maxima, most intense first, 2θ = 5–70°:
3.328 Å, intensity 100, hkl 2 2 0
3.420 Å, intensity 92, hkl 0 2 1
3.048 Å, intensity 81, hkl 3 1 -1
2.905 Å, intensity 78, hkl 3 1 0
4.571 Å, intensity 57, hkl 1 1 -1
2.747 Å, intensity 41, hkl 1 3 -1
3.200 Å, intensity 32, hkl 2 2 -1
1.837 Å, intensity 27, hkl 2 4 1
2.126 Å, intensity 27, hkl 4 0 -2
2.407 Å, intensity 25, hkl 0 0 2



[8]
Diffraction record for Ir3PdPt. The powder diffractogram is calculated, not measured: it uses a structure optimized by DFT (PBE) and Cu Kα.
Intensities are scaled so that the largest is 100.

Structure:
```
data_Ir3PdPt
_space_group_name_H-M_alt 'P m -3 m'
_space_group_IT_number 221
_space_group_name_Hall '-P 4 2 3'
_cell_length_a 4.7719
_cell_length_b 4.7719
_cell_length_c 4.7719
_cell_angle_alpha 90.00
_cell_angle_beta 90.00
_cell_angle_gamma 90.00
loop_
_atom_site_label
_atom_site_fract_x
_atom_site_fract_y
_atom_site_fract_z
_atom_site_occupancy
Ir1 0.0000 0.0000 0.5000 1
Pd1 0.5000 0.5000 0.5000 1
Pt1 0.0000 0.0000 0.0000 1
```

Largest 10 diffraction maxima, most intense first, 2θ = 5–70°:
2.386 Å, intensity 100, hkl 2 0 0
1.687 Å, intensity 70, hkl 2 2 0
2.755 Å, intensity 62, hkl 1 1 1
4.772 Å, intensity 56, hkl 1 0 0
2.134 Å, intensity 29, hkl 2 1 0
1.439 Å, intensity 26, hkl 3 1 1
1.378 Å, intensity 24, hkl 2 2 2
1.591 Å, intensity 15, hkl 3 0 0
3.374 Å, intensity 8, hkl 1 1 0
1.948 Å, intensity 4, hkl 2 1 1



[9]
Diffraction record for ZnRe2PbC. The powder diffractogram is calculated, not measured: it uses a structure optimized by DFT (PBE) and Cu Kα.
Intensities are scaled so that the largest is 100.

Structure:
```
data_ZnRe2PbC
_space_group_name_H-M_alt 'P 4/m m m'
_space_group_IT_number 123
_space_group_name_Hall '-P 4 2'
_cell_length_a 4.8619
_cell_length_b 4.8619
_cell_length_c 3.5747
_cell_angle_alpha 90.00
_cell_angle_beta 90.00
_cell_angle_gamma 90.00
loop_
_atom_site_label
_atom_site_fract_x
_atom_site_fract_y
_atom_site_fract_z
_atom_site_occupancy
Zn1 0.0000 0.0000 0.0000 1
Re1 0.0000 0.5000 0.0000 1
Pb1 0.5000 0.5000 0.5000 1
C1 0.0000 0.0000 0.5000 1
```

Largest 10 diffraction maxima, most intense first, 2θ = 5–70°:
2.478 Å, intensity 100, hkl 1 1 1
2.431 Å, intensity 78, hkl 2 0 0
2.880 Å, intensity 41, hkl 1 0 1
1.412 Å, intensity 36, hkl 3 1 1
1.440 Å, intensity 30, hkl 2 0 2
1.719 Å, intensity 27, hkl 2 2 0
1.858 Å, intensity 23, hkl 2 1 1
1.787 Å, intensity 15, hkl 0 0 2
4.862 Å, intensity 14, hkl 1 0 0
3.575 Å, intensity 13, hkl 0 0 1



[10]
Diffraction record for Ba5Mg3. The powder diffractogram is calculated, not measured: it uses a structure optimized by DFT (PBE) and Cu Kα.
Intensities are scaled so that the largest is 100.

Structure:
```
data_Ba5Mg3
_space_group_name_H-M_alt 'F m m m'
_space_group_IT_number 69
_space_group_name_Hall '-F 2 2'
_cell_length_a 7.2702
_cell_length_b 20.5445
_cell_length_c 20.5703
_cell_angle_alpha 90.00
_cell_angle_beta 90.00
_cell_angle_gamma 90.00
loop_
_atom_site_label
_atom_site_fract_x
_atom_site_fract_y
_atom_site_fract_z
_atom_site_occupancy
Ba1 0.0000 0.1008 0.1828 1
Ba2 0.0000 0.1832 0.3990 1
Ba3 0.2493 0.0000 0.5000 1
Mg1 0.0000 0.0000 0.3381 1
Mg2 0.0000 0.1621 0.0000 1
Mg3 0.2500 0.2500 0.2500 1
```

Largest 10 diffraction maxima, most intense first, 2θ = 5–70°:
3.172 Å, intensity 100, hkl 1 5 3
3.251 Å, intensity 91, hkl 0 2 6
3.526 Å, intensity 88, hkl 1 5 1
2.968 Å, intensity 50, hkl 2 0 4
2.056 Å, intensity 48, hkl 0 10 0
4.597 Å, intensity 43, hkl 0 4 2
2.077 Å, intensity 36, hkl 3 1 5
4.846 Å, intensity 35, hkl 1 1 3
3.635 Å, intensity 33, hkl 2 0 0
1.997 Å, intensity 27, hkl 3 5 3



[11]
Diffraction record for Li4AcPb8. The powder diffractogram is calculated, not measured: it uses a structure optimized by DFT (PBE) and Cu Kα.
Intensities are scaled so that the largest is 100.

Structure:
```
data_Li4AcPb8
_space_group_name_H-M_alt 'I 4/m m m'
_space_group_IT_number 139
_space_group_name_Hall '-I 4 2'
_cell_length_a 10.5906
_cell_length_b 10.5906
_cell_length_c 6.2930
_cell_angle_alpha 90.00
_cell_angle_beta 90.00
_cell_angle_gamma 90.00
loop_
_atom_site_label
_atom_site_fract_x
_atom_site_fract_y
_atom_site_fract_z
_atom_site_occupancy
Li1 0.2500 0.2500 0.2500 1
Ac1 0.0000 0.0000 0.0000 1
Pb1 0.0000 0.2189 0.5000 1
Pb2 0.0000 0.3408 0.0000 1
```

Largest 10 diffraction maxima, most intense first, 2θ = 5–70°:
2.662 Å, intensity 100, hkl 3 2 1
3.146 Å, intensity 58, hkl 0 0 2
3.079 Å, intensity 47, hkl 3 0 1
3.744 Å, intensity 39, hkl 2 2 0
1.531 Å, intensity 34, hkl 6 3 1
2.409 Å, intensity 27, hkl 2 2 2
1.707 Å, intensity 27, hkl 3 2 3
2.378 Å, intensity 27, hkl 4 1 1
5.295 Å, intensity 26, hkl 2 0 0
2.648 Å, intensity 26, hkl 4 0 0



[12]
Diffraction record for Pm8ZnGe2. The powder diffractogram is calculated, not measured: it uses a structure optimized by DFT (PBE) and Cu Kα.
Intensities are scaled so that the largest is 100.

Structure:
```
data_Pm8ZnGe2
_space_group_name_H-M_alt 'C 1 2/m 1'
_space_group_IT_number 12
_cell_length_a 19.1785
_cell_length_b 4.9701
_cell_length_c 6.8660
_cell_angle_alpha 90.00
_cell_angle_beta 103.39
_cell_angle_gamma 90.00
loop_
_space_group_symop_operation_xyz
'x,y,z'
'-x,-y,-z'
'-x,y,-z'
'x,-y,z'
'x+1/2,y+1/2,z'
'-x+1/2,-y+1/2,-z'
'-x+1/2,y+1/2,-z'
'x+1/2,-y+1/2,z'
loop_
_atom_site_label
_atom_site_fract_x
_atom_site_fract_y
_atom_site_fract_z
_atom_site_occupancy
Pm1 0.0231 0.0000 0.2773 1
Pm2 0.0930 0.5000 0.9784 1
Pm3 0.1610 0.5000 0.4958 1
Pm4 0.2113 0.0000 0.8311 1
Zn1 0.0000 0.5000 0.5000 1
Ge1 0.1827 0.0000 0.2556 1
```

Largest 10 diffraction maxima, most intense first, 2θ = 5–70°:
2.822 Å, intensity 100, hkl 1 1 -2
2.485 Å, intensity 63, hkl 0 2 0
2.984 Å, intensity 58, hkl 5 1 0
3.164 Å, intensity 46, hkl 3 1 1
2.935 Å, intensity 39, hkl 5 1 -1
2.461 Å, intensity 33, hkl 4 0 2
2.668 Å, intensity 31, hkl 1 1 2
3.108 Å, intensity 30, hkl 6 0 -1
2.597 Å, intensity 29, hkl 6 0 1
2.060 Å, intensity 21, hkl 2 0 3